Theoretical powder diffraction line list
Compound: Mn2Ge2O5
Radiation: Cu Kα
Structure: the PBE+U geometry in Alexandria
Neutral-atom scattering factors, no anomalous dispersion.

Cell and atoms:
```
data_Mn2Ge2O5
_symmetry_space_group_name_H-M 'C 1 2/m 1'
_symmetry_Int_Tables_number 12
_symmetry_space_group_name_Hall '-C 2y'
_cell_length_a 15.3189
_cell_length_b 3.5727
_cell_length_c 5.2357
_cell_angle_alpha 90.00
_cell_angle_beta 105.90
_cell_angle_gamma 90.00
loop_
_atom_site_label
_atom_site_type_symbol
_atom_site_fract_x
_atom_site_fract_y
_atom_site_fract_z
Mn1 Mn 0.0844 0.0000 0.3426
Ge1 Ge 0.1254 0.5000 0.9245
O1 O 0.0000 0.5000 0.0000
O2 O 0.1015 0.5000 0.5652
O3 O 0.1567 0.0000 0.0510
```

Principal peaks in the range 2θ from 10° to 90°, in order of falling intensity:
| 2θ/deg | I (rel.) | hkl |
| --- | --- | --- |
| 24.16 | 100 | 4 0 0 |
| 32.25 | 86 | 1 1 1 |
| 33.17 | 55 | 3 1 -1 |
| 12.01 | 42 | 2 0 0 |
| 17.61 | 28 | 0 0 1 |
| 36.04 | 24 | 6 0 -1 |
| 51.13 | 23 | 0 2 0 |
| 60.34 | 22 | 5 1 2 |
| 34.34 | 21 | 2 0 -2 |
| 57.32 | 17 | 4 2 0 |